Simulated powder XRD pattern
Compound: Ac2SnO
Radiation: Cu Kα X-rays
Structure: a cell relaxed with PBE

Crystal structure
a b c (Å): 7.436 7.436 8.474
angles (deg): 90.00 90.00 120.00
Fractional coordinates of all 12 atoms:
Ac1 0.128 0.418 0.375
Ac2 0.290 0.872 0.042
Ac3 0.418 0.128 0.625
Ac4 0.582 0.710 0.708
Ac5 0.710 0.582 0.292
Ac6 0.872 0.290 0.958
Sn1 0.000 0.643 0.667
Sn2 0.357 0.357 0.000
Sn3 0.643 0.000 0.333
O1 0.000 0.568 0.167
O2 0.432 0.432 0.500
O3 0.568 0.000 0.833

Peak list (10 most intense, 10 to 90 degrees two-theta, sorted by position)
23.93°, d = 3.718 Å, rel. 37.4, hkl 1 1 0
25.16°, d = 3.540 Å, rel. 78.8, hkl 0 1 2
26.17°, d = 3.405 Å, rel. 69.8, hkl 1 1 1
29.68°, d = 3.010 Å, rel. 100.0, hkl 2 0 1
31.68°, d = 2.825 Å, rel. 26.0, hkl 0 0 3
35.00°, d = 2.564 Å, rel. 66.1, hkl 0 2 2
38.48°, d = 2.339 Å, rel. 28.3, hkl 1 2 1
49.46°, d = 1.843 Å, rel. 47.4, hkl 2 1 3
52.35°, d = 1.748 Å, rel. 23.7, hkl 3 1 1
55.86°, d = 1.646 Å, rel. 23.9, hkl 1 3 2